Record 1
Diffraction record for Li2VCrP4O14. The PXRD pattern is computed, not measured: it uses a DFT-relaxed cell (PBE+U, the Materials Project) and Cu Kα X-rays.
Lines closer than 0.1° are merged.

Atomic structure:
```
Li2VCrP4O14
1.0
7.0180 0.0000 0.0000
-1.5663 9.4197 0.0000
-1.5683 -4.9127 8.0375
Li V Cr P O
4 2 2 8 28
Cartesian
0.0000 0.0000 0.0000
5.4490 2.2532 4.0198
0.3648 -0.5357 7.4461
0.3704 6.6295 3.4235
2.2357 -0.0903 2.1215
5.1478 4.7718 2.3937
0.6598 2.1569 6.1387
5.1565 -2.3935 6.4225
-0.1348 -0.5223 4.3982
-0.1198 6.6441 0.3691
0.4924 2.6112 1.5745
-1.0719 4.8636 5.6025
2.6324 2.7408 3.5651
2.6475 -4.4253 7.5652
3.1773 0.1162 7.2610
3.1753 7.2769 3.2596
-0.7231 3.0822 2.3895
-2.2907 5.3257 6.4059
0.5452 3.1572 0.1442
-1.0176 5.4025 4.1665
-0.2750 -1.3692 5.6737
-0.2502 5.8123 1.6476
0.6146 1.0866 1.6231
-0.9265 3.3334 5.6546
-0.1802 8.1520 0.6570
-0.1803 0.9822 4.6808
1.0857 -0.9713 3.5788
-0.4738 1.2873 7.5878
1.8127 3.2472 2.2488
0.2492 5.5050 6.2669
1.7868 3.0511 4.7850
3.3621 0.8030 0.7520
1.8878 0.5788 6.5766
1.8954 7.7214 2.5646
2.9533 1.2422 3.4170
1.3875 3.4992 7.4275
4.4229 4.3663 0.5747
4.4356 -2.7976 4.6101
3.9197 3.5566 3.5349
3.9308 -3.5919 7.5386
4.0205 -0.7697 6.3599
4.0342 6.4044 2.3516
4.0015 1.4945 7.5175
5.5700 -0.7599 3.4986
```

Top 10 peaks for 5° ≤ 2θ ≤ 70°, by angle:
2θ = 17.16°, rel. 100.0, (1 1 -1); 2θ = 22.12°, rel. 21.1, (0 2 0); 2θ = 22.41°, rel. 47.2, (1 0 -2); 2θ = 25.49°, rel. 18.3, (1 2 -2); 2θ = 26.86°, rel. 24.2, (1 1 1); 2θ = 29.01°, rel. 30.5, (1 2 0); 2θ = 29.35°, rel. 58.4, (1 1 -3); 2θ = 29.69°, rel. 27.7, (2 0 -2); 2θ = 34.73°, rel. 16.4, (2 -2 2); 2θ = 43.29°, rel. 14.5, (2 2 -4)

=====

Record 2
Diffraction record for FePH5CO4. The PXRD pattern is computed, not measured: it uses a DFT-relaxed cell (PBE+U, the Materials Project) and Cu Kα X-rays.
Lines closer than 0.1° are merged.

Atomic structure:
```
FePH5CO4
1.0
4.8560 0.0000 0.0000
-0.0830 5.8249 0.0000
-0.0576 -0.0033 8.9964
Fe P H C O
2 2 10 2 8
Cartesian
0.0000 0.0000 0.0000
2.3121 2.9038 8.5238
0.2246 2.9152 1.4602
2.5944 5.8164 7.0639
0.1759 2.0054 3.6919
0.1623 3.7929 3.6891
0.2546 3.6857 6.9454
0.2788 2.1167 6.9472
1.6876 2.9104 3.3623
2.5509 4.9196 4.8301
2.6212 0.8805 4.8295
2.6943 5.0317 1.5726
2.7686 0.7711 1.5760
4.0611 5.8224 5.1670
0.5995 2.9015 3.2206
2.9724 5.8162 5.3032
0.8546 2.9104 6.8697
0.8975 4.1774 0.8267
0.9502 1.6962 0.7792
1.0786 5.8161 7.2411
3.2773 5.8175 1.6697
3.2878 4.5591 7.7038
3.3764 1.2274 7.7268
3.5662 2.8861 1.2810
```

Top 10 peaks for 5° ≤ 2θ ≤ 70°, by angle:
2θ = 9.83°, rel. 100.0, (0 0 1); 2θ = 18.14°, rel. 5.6, (0 1 -1); 2θ = 25.70°, rel. 5.7, (-1 1 1); 2θ = 26.02°, rel. 5.6, (1 1 1); 2θ = 30.70°, rel. 7.8, (0 2 0); 2θ = 30.94°, rel. 4.9, (-1 1 2); 2θ = 31.09°, rel. 4.5, (1 -1 2); 2θ = 31.20°, rel. 4.5, (1 1 -2); 2θ = 31.36°, rel. 4.5, (1 1 2); 2θ = 38.51°, rel. 5.4, (1 -1 3)

=====

Record 3
Diffraction record for MgMn6O7F5. The PXRD pattern is computed, not measured: it uses a DFT-relaxed cell (PBE+U, the Materials Project) and Cu Kα X-rays.
Lines closer than 0.1° are merged.

Atomic structure:
```
MgMn6O7F5
1.0
5.3468 0.0000 0.0000
-0.5110 5.7181 0.0000
-0.0422 -1.0743 7.6629
Mg Mn O F
1 6 7 5
Cartesian
0.0000 0.0000 0.0000
-0.0544 1.4250 6.4272
2.5568 -0.5326 5.4164
2.4334 2.4402 3.8442
2.7425 0.4612 1.7102
4.8432 3.3147 1.4104
5.3143 -0.5082 3.7974
0.5701 -0.3132 5.7499
0.4978 1.9170 0.5221
1.6941 0.5497 3.4129
3.4216 2.1336 2.2525
3.3348 4.0763 4.3742
4.1079 5.1038 1.9687
4.2957 2.7341 7.3117
0.5803 3.3917 3.1032
1.1734 4.8666 0.7736
1.3960 2.6079 5.5210
3.4170 -0.3519 7.3754
3.9338 1.1762 4.9274
```

Top 10 peaks for 5° ≤ 2θ ≤ 70°, by angle:
2θ = 20.48°, rel. 36.4, (1 0 1); 2θ = 23.88°, rel. 100.0, (1 -1 1); 2θ = 25.54°, rel. 68.2, (1 1 -1); 2θ = 30.65°, rel. 32.1, (1 -1 2); 2θ = 31.60°, rel. 37.9, (0 2 0); 2θ = 31.77°, rel. 27.1, (1 1 -2); 2θ = 33.48°, rel. 49.7, (-1 1 2); 2θ = 33.66°, rel. 36.5, (2 0 0); 2θ = 35.33°, rel. 34.5, (1 1 2); 2θ = 58.86°, rel. 34.5, (-3 1 2)

=====

Record 4
Diffraction record for Li8Ti6Mn7O30. The PXRD pattern is computed, not measured: it uses a DFT-relaxed cell (PBE+U, the Materials Project) and Cu Kα X-rays.
Lines closer than 0.1° are merged.

Atomic structure:
```
Li8Ti6Mn7O30
1.0
5.0085 0.0000 0.0000
-2.5042 4.3375 0.0000
0.0000 0.0000 23.6613
Li Ti Mn O
8 6 7 30
Cartesian
0.0000 0.0000 0.0000
0.0000 0.0000 3.8362
0.0000 0.0000 10.7050
0.0000 0.0000 16.6971
0.0000 2.8916 14.3616
0.0000 2.8916 20.6621
2.5042 1.4458 6.7296
2.5042 1.4458 13.0613
0.0000 0.0000 6.5543
0.0000 0.0000 13.7060
0.0000 0.0000 20.8242
0.0000 2.8916 11.5957
0.0000 2.8916 22.9917
2.5042 1.4458 15.8192
0.0000 2.8916 2.1132
0.0000 2.8916 8.8032
0.0000 2.8916 18.3173
2.5042 1.4458 1.7370
2.5042 1.4458 4.4050
2.5042 1.4458 9.0994
2.5042 1.4458 18.6219
-0.8000 1.5063 19.5246
-0.8761 1.6839 10.0687
-0.8273 1.6460 0.8375
-1.5766 3.0656 12.5511
-1.5134 3.1964 21.9607
0.4928 1.4287 21.9607
0.6377 1.4392 12.5511
1.5631 0.1639 14.8936
1.4919 0.2940 5.4478
-0.7997 4.2772 19.5246
0.9060 1.4513 7.9030
-0.6651 4.2309 0.8375
-0.6079 4.2542 10.0687
1.0261 1.5371 3.0234
1.0189 1.5959 17.3707
1.4840 2.7368 10.0687
1.4924 2.7980 0.8375
3.1169 0.0844 17.3707
3.1642 0.1201 3.0234
1.5997 2.8914 19.5246
3.2986 0.0590 7.9030
0.9390 4.1701 12.5511
1.0206 4.0499 21.9607
1.8646 2.9018 14.8936
2.0129 2.8984 5.4478
4.0079 1.1450 5.4478
4.0850 1.2717 14.8936
3.3224 2.6803 3.0234
3.3769 2.6571 17.3707
3.3081 2.8272 7.9030
```

Top 10 peaks for 5° ≤ 2θ ≤ 70°, by angle:
2θ = 11.22°, rel. 20.9, (0 0 3); 2θ = 21.82°, rel. 50.3, (0 1 2); 2θ = 23.41°, rel. 100.0, (1 0 3); 2θ = 27.90°, rel. 19.5, (0 1 5); 2θ = 33.61°, rel. 37.3, (1 0 7); 2θ = 35.86°, rel. 48.6, (1 1 0); 2θ = 40.77°, rel. 42.1, (2 -1 5); 2θ = 49.97°, rel. 20.9, (0 2 7); 2θ = 53.26°, rel. 81.6, (2 -1 10); 2θ = 64.44°, rel. 34.4, (3 0 0)

=====

Record 5
Diffraction record for K2Cr2AsHO10. The PXRD pattern is computed, not measured: it uses a DFT-relaxed cell (PBE+U, the Materials Project) and Cu Kα X-rays.
Lines closer than 0.1° are merged.

Atomic structure:
```
K2Cr2AsHO10
1.0
7.8707 0.0000 0.0000
-3.9353 6.8162 0.0000
0.0000 0.0000 14.6492
K Cr As H O
6 6 3 3 30
Cartesian
-2.3590 4.1619 0.0000
1.5105 2.6922 4.8831
1.8714 2.9702 12.1190
4.3627 0.1355 2.3529
0.8485 6.7782 9.7661
5.5719 3.7104 7.2360
-2.2261 3.9377 11.0384
1.6665 2.8497 8.4572
1.6382 2.9195 1.2723
0.5879 6.7752 6.1554
4.5694 0.0184 13.3403
5.5700 3.9481 3.5741
-0.3389 0.8610 14.3851
-3.0202 6.6792 9.5021
3.3591 6.0922 4.6190
-0.0517 0.3244 11.6437
-3.6286 6.6988 6.7606
3.6803 6.6092 1.8775
0.3156 0.2329 5.7480
-1.2181 3.3498 4.6316
0.4486 0.6108 12.9337
-0.9152 3.5495 11.9164
-1.6919 5.2211 2.7804
-1.8670 5.5251 10.1431
0.0840 2.4368 0.3770
0.2597 2.7404 7.6634
1.9451 1.2828 9.4200
-0.4038 5.8340 7.0333
2.0774 1.7139 2.2655
-0.4253 6.1962 14.3977
1.3190 4.2489 2.1502
1.6434 4.0864 9.5146
3.6985 0.8294 5.0561
3.8168 0.9765 12.2644
2.8726 3.0225 7.3813
2.8043 3.1985 0.1731
1.4323 5.6709 12.5465
1.7830 5.6705 5.2601
5.3476 0.9421 7.1486
5.7871 1.0431 14.3031
4.0737 4.4902 4.5370
5.1166 2.8172 2.4982
4.3809 4.1601 12.0316
5.3032 2.7883 9.9392
7.1174 0.0831 3.1675
7.5112 0.1568 10.6311
3.9793 6.4264 0.8650
4.2400 6.1223 8.0506
```

Top 10 peaks for 5° ≤ 2θ ≤ 70°, by angle:
2θ = 17.78°, rel. 53.9, (1 0 2); 2θ = 22.40°, rel. 45.1, (0 1 3); 2θ = 22.59°, rel. 49.5, (1 1 0); 2θ = 25.70°, rel. 44.2, (1 1 2); 2θ = 26.15°, rel. 100.0, (2 0 0); 2θ = 26.86°, rel. 27.7, (2 0 1); 2θ = 27.65°, rel. 96.0, (0 1 4); 2θ = 33.42°, rel. 27.9, (2 -1 4); 2θ = 36.00°, rel. 29.0, (2 0 4); 2θ = 42.92°, rel. 58.8, (2 1 4)

=====

Record 6
Diffraction record for LiLa2Mn3O9. The PXRD pattern is computed, not measured: it uses a DFT-relaxed cell (PBE+U, the Materials Project) and Cu Kα X-rays.
Lines closer than 0.1° are merged.

Atomic structure:
```
LiLa2Mn3O9
1.0
5.4506 0.0000 0.0000
-2.7253 4.7204 0.0000
0.0000 0.0000 6.6915
Li La Mn O
1 2 3 9
Cartesian
0.0000 0.0000 0.0000
0.0000 3.1469 2.1542
2.7253 1.5735 4.5372
0.0000 0.0000 3.3457
0.0000 3.1469 5.5992
2.7253 1.5735 1.0923
-1.3627 2.3602 0.0000
0.0000 1.6114 4.4053
-1.3298 3.9147 4.4053
1.3955 0.8057 2.2862
2.7253 0.0000 0.0000
1.3627 2.3602 0.0000
1.3298 3.9147 4.4053
4.0551 0.8057 2.2862
2.7253 3.1090 2.2862
```

Top 10 peaks for 5° ≤ 2θ ≤ 70°, by angle:
2θ = 13.23°, rel. 12.4, (0 0 1); 2θ = 18.80°, rel. 22.5, (1 0 0); 2θ = 23.06°, rel. 18.9, (1 0 1); 2θ = 32.84°, rel. 100.0, (1 1 0); 2θ = 40.51°, rel. 18.6, (2 0 1); 2θ = 47.12°, rel. 38.4, (0 2 2); 2θ = 58.54°, rel. 10.9, (0 1 4); 2θ = 58.65°, rel. 28.7, (3 0 0); 2θ = 68.78°, rel. 11.3, (2 0 4); 2θ = 68.91°, rel. 10.6, (2 2 0)

=====

Record 7
Diffraction record for MgCr4Pb4O16. The PXRD pattern is computed, not measured: it uses a DFT-relaxed cell (PBE+U, the Materials Project) and Cu Kα X-rays.
Lines closer than 0.1° are merged.

Atomic structure:
```
MgCr4Pb4O16
1.0
7.0466 0.0000 0.0000
0.1984 7.5381 0.0000
0.9915 0.0246 7.7301
Mg Cr Pb O
1 4 4 16
Cartesian
0.0000 0.0000 0.0000
2.0106 1.8555 2.0381
4.1634 4.2002 5.2353
5.9082 0.3484 6.0690
7.1068 5.4706 1.7917
2.9645 0.3801 5.0288
3.6237 5.8088 1.0600
5.5470 2.0541 2.3105
7.5242 4.3222 5.3580
0.7494 5.4363 3.3304
0.8904 2.2093 3.2301
1.1870 1.4849 0.6398
1.2985 5.9321 0.5733
3.0008 3.0330 5.4336
2.9281 0.5260 2.5498
3.4120 5.5723 4.6551
3.0857 3.0958 1.8225
4.6979 7.4247 6.9763
4.9517 4.5297 6.6544
5.2361 0.7588 4.5245
5.3820 3.7086 4.1648
6.0965 6.9172 1.5428
6.7293 1.5297 6.9605
6.1949 4.1666 1.2387
7.3560 6.6423 6.0476
```

Top 10 peaks for 5° ≤ 2θ ≤ 70°, by angle:
2θ = 16.43°, rel. 19.2, (0 1 -1); 2θ = 17.53°, rel. 18.7, (1 -1 0); 2θ = 20.09°, rel. 24.4, (1 -1 1); 2θ = 23.01°, rel. 45.7, (0 0 2); 2θ = 25.89°, rel. 20.8, (0 1 2); 2θ = 26.30°, rel. 100.0, (0 2 1); 2θ = 27.87°, rel. 37.1, (2 1 0); 2θ = 28.43°, rel. 20.3, (2 -1 0); 2θ = 30.15°, rel. 20.4, (1 1 -2); 2θ = 44.53°, rel. 18.9, (2 3 1)

=====

Record 8
Diffraction record for BaCrO3. The PXRD pattern is computed, not measured: it uses a DFT-relaxed cell (PBE+U, the Materials Project) and Cu Kα X-rays.
Lines closer than 0.1° are merged.

Atomic structure:
```
BaCrO3
1.0
5.7504 0.0000 0.0000
-2.8752 4.9800 0.0000
0.0000 0.0000 9.4521
Ba Cr O
4 4 12
Cartesian
0.0000 0.0000 0.0000
0.0000 0.0000 4.7260
0.0000 3.3200 2.3630
2.8752 1.6600 7.0891
0.0000 3.3200 5.7663
0.0000 3.3200 8.4118
2.8752 1.6600 1.0403
2.8752 1.6600 3.6857
-1.4376 2.4900 0.0000
-1.4376 2.4900 4.7260
0.0000 1.8596 7.0891
-1.2647 4.0501 7.0891
1.6105 0.9298 2.3630
2.8752 0.0000 0.0000
2.8752 0.0000 4.7260
1.4376 2.4900 0.0000
1.4376 2.4900 4.7260
1.2647 4.0501 7.0891
4.1399 0.9298 2.3630
2.8752 3.1203 2.3630
```

Top 10 peaks for 5° ≤ 2θ ≤ 70°, by angle:
2θ = 25.99°, rel. 77.3, (1 0 2); 2θ = 31.11°, rel. 100.0, (1 1 0); 2θ = 33.66°, rel. 43.9, (1 0 3); 2θ = 38.08°, rel. 11.3, (0 0 4); 2θ = 40.97°, rel. 53.6, (2 0 2); 2θ = 46.48°, rel. 29.6, (2 0 3); 2θ = 52.32°, rel. 18.9, (2 1 2); 2θ = 55.34°, rel. 18.7, (3 0 0); 2θ = 56.99°, rel. 21.1, (2 1 3); 2θ = 64.86°, rel. 19.2, (2 2 0)